ZrAgSe2O: calculated powder diffraction line list (a wavelength of 1.5418 Å), based on a PBE-relaxed structure.

Lattice parameters (Å, degrees): 4.7105 4.7105 4.1318 90.00 90.00 90.00
Atoms (fractional coordinates):
1 Zr 0.0000 0.0000 0.0000
2 Ag 0.5000 0.5000 0.0000
3 Se 0.0000 0.5000 0.5000
4 Se 0.5000 0.0000 0.5000
5 O 0.5000 0.5000 0.5000

Principal peaks in the range 10° ≤ 2θ ≤ 90°, in order of falling intensity:
- 34.59 deg, rel. 100.0, hkl 1 1 1
- 38.21 deg, rel. 45.3, hkl 2 0 0
- 66.75 deg, rel. 28.5, hkl 3 1 1
- 59.52 deg, rel. 23.5, hkl 2 0 2
- 43.82 deg, rel. 15.2, hkl 0 0 2
- 55.15 deg, rel. 14.9, hkl 2 2 0
- 72.97 deg, rel. 12.6, hkl 2 2 2
- 74.56 deg, rel. 10.4, hkl 1 1 3
- 81.78 deg, rel. 4.6, hkl 4 0 0
- 26.76 deg, rel. 3.4, hkl 1 1 0